Theoretical powder X-ray diffraction pattern
Compound: SrAuI4
Radiation: Cu Kα X-rays
Structure: the PBE geometry in Alexandria

Crystal structure
```
SrAuI4
1.0
6.1213 0.0000 0.0000
0.0000 10.8062 0.0000
-2.9421 0.0000 8.3125
Sr Au I
2 2 8
Direct
0.0674 0.2500 0.1275 Sr
0.9326 0.7500 0.8725 Sr
0.2299 0.7500 0.4428 Au
0.7701 0.2500 0.5572 Au
0.1102 0.5679 0.1958 I
0.1102 0.9321 0.1958 I
0.2650 0.2500 0.5426 I
0.3824 0.7500 0.7684 I
0.6176 0.2500 0.2316 I
0.7350 0.7500 0.4574 I
0.8898 0.0679 0.8042 I
0.8898 0.4321 0.8042 I
```

Main lines, most intense first (2θ = 5–70°):
- hkl 2 0 -1, 29.18°, 3.060 Å, rel. 100
- hkl 0 2 0, 16.41°, 5.403 Å, rel. 88
- hkl 0 2 1, 19.60°, 4.530 Å, rel. 69
- hkl 0 3 2, 32.92°, 2.721 Å, rel. 67
- hkl 2 3 -3, 44.77°, 2.024 Å, rel. 67
- hkl 0 3 1, 27.01°, 3.301 Å, rel. 65
- hkl 0 4 0, 33.17°, 2.701 Å, rel. 46
- hkl 2 0 -4, 44.38°, 2.041 Å, rel. 44
- hkl 1 0 -1, 15.50°, 5.717 Å, rel. 38
- hkl 0 1 2, 22.93°, 3.878 Å, rel. 38